Record 1
# K2MgCo2O4
Calculated powder diffraction line list, a wavelength of 1.5418 Å. Input: a DFT-relaxed cell (GGA+U, the Materials Project).
Intensities are scaled so that the largest is 100.

Atomic structure:
Cell: 5.5729 5.8902 6.1291 Å, 77.51 71.00 65.49°
Atoms (fractional coordinates):
K 0.0000 0.0000 0.0000
K 0.2514 0.3144 0.3650
Mg 0.6724 0.7609 0.6707
Co 0.3373 0.4075 0.8219
Co 0.7134 0.6103 0.1087
O 0.4445 0.1081 0.7233
O 0.5011 0.5554 0.9544
O 0.7579 0.6807 0.3569
O 0.9838 0.6454 0.8120

Peak list (10 most intense, 10° ≤ 2θ ≤ 90°, low angle first)
2θ 15.36, I = 81; 2θ 16.62, I = 71; 2θ 19.52, I = 35; 2θ 28.70, I = 59; 2θ 29.01, I = 95; 2θ 31.54, I = 100; 2θ 31.65, I = 41; 2θ 34.18, I = 44; 2θ 38.50, I = 32; 2θ 42.24, I = 35

Record 2
# Fe3P2H2O10
Calculated powder diffraction line list, a wavelength of 1.5418 Å. Input: a DFT-relaxed cell (GGA+U, the Materials Project).
Intensities are scaled so that the largest is 100.

Atomic structure:
Cell: 7.3833 7.6382 7.6535 Å, 90.00 120.14 90.00°
Atoms (fractional coordinates):
Fe 0.0000 0.0000 0.0000
Fe 0.0000 0.5000 0.5000
Fe 0.2659 0.2329 0.4933
Fe 0.2659 0.2671 0.9933
Fe 0.7341 0.7329 0.0067
Fe 0.7341 0.7671 0.5067
P 0.2478 0.6113 0.2450
P 0.2478 0.8887 0.7450
P 0.7522 0.1113 0.2550
P 0.7522 0.3887 0.7550
H 0.3846 0.0579 0.2949
H 0.3846 0.4421 0.7949
H 0.6154 0.5579 0.2051
H 0.6154 0.9421 0.7051
O 0.0522 0.7294 0.1161
O 0.0522 0.7706 0.6161
O 0.1943 0.0141 0.8741
O 0.1943 0.4859 0.3741
O 0.2601 0.1342 0.2383
O 0.2601 0.3658 0.7383
O 0.3071 0.5014 0.1115
O 0.3071 0.9986 0.6115
O 0.4319 0.7320 0.3809
O 0.4319 0.7680 0.8809
O 0.5681 0.2320 0.1191
O 0.5681 0.2680 0.6191
O 0.6929 0.0014 0.3885
O 0.6929 0.4986 0.8885
O 0.7399 0.6342 0.2617
O 0.7399 0.8658 0.7617
O 0.8057 0.5141 0.6259
O 0.8057 0.9859 0.1259
O 0.9478 0.2294 0.3839
O 0.9478 0.2706 0.8839

Peak list (10 most intense, 10° ≤ 2θ ≤ 90°, low angle first)
2θ 18.11, I = 41; 2θ 26.05, I = 100; 2θ 26.48, I = 52; 2θ 26.95, I = 38; 2θ 27.95, I = 27; 2θ 38.02, I = 20; 2θ 44.16, I = 17; 2θ 53.58, I = 17; 2θ 54.53, I = 19; 2θ 55.56, I = 23

Record 3
# FeBiO3
Calculated powder diffraction line list, a wavelength of 1.5418 Å. Input: a DFT-relaxed cell (GGA+U, the Materials Project).
Intensities are scaled so that the largest is 100.

Atomic structure:
Cell: 5.4278 5.4278 5.4278 Å, 66.30 66.30 66.30°
Atoms (fractional coordinates):
Fe 0.0000 0.0000 0.0000
Bi 0.7453 0.7453 0.7453
O 0.3307 0.9364 0.7292
O 0.7292 0.3307 0.9364
O 0.9364 0.7292 0.3307

Peak list (10 most intense, 10° ≤ 2θ ≤ 90°, low angle first)
2θ 18.64, I = 100; 2θ 21.11, I = 30; 2θ 22.30, I = 26; 2θ 30.11, I = 38; 2θ 33.31, I = 36; 2θ 35.65, I = 15; 2θ 37.06, I = 35; 2θ 45.51, I = 13; 2θ 47.34, I = 17; 2θ 55.54, I = 16

Record 4
# Na2NiPCO7
Calculated powder diffraction line list, a wavelength of 1.5418 Å. Input: a DFT-relaxed cell (GGA+U, the Materials Project).
Intensities are scaled so that the largest is 100.

Atomic structure:
Cell: 8.3862 8.4184 10.1955 Å, 107.37 107.82 103.97°
Atoms (fractional coordinates):
Na 0.0000 0.0000 0.0000
Na 0.0079 0.9789 0.4767
Na 0.0859 0.3062 0.8330
Na 0.2572 0.7516 0.4884
Na 0.2879 0.7487 0.0105
Na 0.5155 0.4938 0.4890
Na 0.7413 0.2468 0.4796
Na 0.7500 0.2383 0.9938
Ni 0.0667 0.3060 0.3938
Ni 0.4459 0.1908 0.0909
Ni 0.5704 0.8075 0.3929
Ni 0.9445 0.6856 0.0906
P 0.1965 0.4363 0.1629
P 0.3134 0.0506 0.3214
P 0.7037 0.9432 0.1642
P 0.8112 0.5515 0.3197
C 0.2382 0.4792 0.6707
C 0.2751 0.0092 0.8110
C 0.7452 0.9832 0.6734
C 0.7748 0.5148 0.8131
O 0.0602 0.3085 0.1979
O 0.0928 0.5170 0.0623
O 0.0955 0.3321 0.6097
O 0.1696 0.9028 0.1676
O 0.1850 0.9225 0.6710
O 0.2261 0.1509 0.4140
O 0.2294 0.9655 0.9107
O 0.2656 0.3173 0.0634
O 0.2868 0.5238 0.5728
O 0.3163 0.5652 0.8103
O 0.3461 0.5816 0.3128
O 0.4167 0.1527 0.8689
O 0.4211 0.9691 0.4175
O 0.4454 0.1860 0.2892
O 0.5725 0.8162 0.2023
O 0.5958 0.0242 0.0686
O 0.6019 0.8390 0.6106
O 0.6658 0.4043 0.1689
O 0.6919 0.4268 0.6728
O 0.7290 0.4689 0.9108
O 0.7315 0.6600 0.4158
O 0.7934 0.8444 0.0746
O 0.7989 0.0353 0.5805
O 0.8302 0.0703 0.8152
O 0.8478 0.0911 0.3186
O 0.9164 0.4704 0.4181
O 0.9181 0.6595 0.8743
O 0.9474 0.6823 0.2869

Peak list (10 most intense, 10° ≤ 2θ ≤ 90°, low angle first)
2θ 16.65, I = 42; 2θ 16.76, I = 42; 2θ 20.02, I = 53; 2θ 21.80, I = 45; 2θ 26.19, I = 61; 2θ 26.94, I = 100; 2θ 33.68, I = 49; 2θ 33.82, I = 66; 2θ 34.66, I = 94; 2θ 55.53, I = 32

Record 5
# Pr2Mo3O12
Calculated powder diffraction line list, a wavelength of 1.5418 Å. Input: a DFT-relaxed cell (GGA+U, the Materials Project).
Intensities are scaled so that the largest is 100.

Atomic structure:
Cell: 7.0675 7.0675 12.0745 Å, 99.80 99.80 114.67°
Atoms (fractional coordinates):
Pr 0.0443 0.2918 0.0887
Pr 0.2918 0.0443 0.5887
Pr 0.7082 0.9557 0.4113
Pr 0.9557 0.7082 0.9113
Mo 0.1250 0.8750 0.2500
Mo 0.2109 0.4621 0.4235
Mo 0.4621 0.2109 0.9235
Mo 0.5379 0.7891 0.0765
Mo 0.7891 0.5379 0.5765
Mo 0.8750 0.1250 0.7500
O 0.0350 0.4296 0.2884
O 0.0807 0.6719 0.1179
O 0.1102 0.1953 0.4567
O 0.1269 0.2016 0.7165
O 0.1953 0.1102 0.9567
O 0.2016 0.1269 0.2165
O 0.2192 0.6646 0.5376
O 0.3281 0.9193 0.3821
O 0.3354 0.7808 0.9624
O 0.4292 0.5269 0.1023
O 0.4296 0.0350 0.7884
O 0.4731 0.5708 0.3977
O 0.5269 0.4292 0.6023
O 0.5704 0.9650 0.2116
O 0.5708 0.4731 0.8977
O 0.6646 0.2192 0.0376
O 0.6719 0.0807 0.6179
O 0.7808 0.3354 0.4624
O 0.7984 0.8731 0.7835
O 0.8047 0.8898 0.0433
O 0.8731 0.7984 0.2835
O 0.8898 0.8047 0.5433
O 0.9193 0.3281 0.8821
O 0.9650 0.5704 0.7116

Peak list (10 most intense, 10° ≤ 2θ ≤ 90°, low angle first)
2θ 14.32, I = 14; 2θ 27.77, I = 100; 2θ 30.04, I = 14; 2θ 33.19, I = 19; 2θ 45.37, I = 30; 2θ 47.65, I = 12; 2θ 51.96, I = 16; 2θ 56.05, I = 26; 2θ 57.36, I = 12; 2θ 73.15, I = 13

Record 6
# Sr4LiMn2Ga2O10
Calculated powder diffraction line list, a wavelength of 1.5418 Å. Input: a DFT-relaxed cell (GGA+U, the Materials Project).
Intensities are scaled so that the largest is 100.

Atomic structure:
Cell: 5.6435 5.6906 9.5315 Å, 107.14 106.41 91.22°
Atoms (fractional coordinates):
Sr 0.0985 0.1114 0.2081
Sr 0.2928 0.4178 0.7145
Sr 0.7072 0.5822 0.2855
Sr 0.9015 0.8886 0.7919
Li 0.5000 0.5000 0.0000
Mn 0.0000 0.5000 0.0000
Mn 0.5000 0.0000 0.0000
Ga 0.3266 0.8230 0.5019
Ga 0.6734 0.1770 0.4981
O 0.1503 0.6025 0.3140
O 0.2448 0.7353 0.9873
O 0.2480 0.2574 0.9958
O 0.3012 0.8337 0.6924
O 0.3211 0.1498 0.4787
O 0.6789 0.8502 0.5213
O 0.6988 0.1663 0.3076
O 0.7520 0.7426 0.0042
O 0.7552 0.2647 0.0127
O 0.8497 0.3975 0.6860

Peak list (10 most intense, 10° ≤ 2θ ≤ 90°, low angle first)
2θ 21.90, I = 52; 2θ 30.09, I = 100; 2θ 30.30, I = 79; 2θ 30.48, I = 53; 2θ 30.60, I = 55; 2θ 31.45, I = 73; 2θ 31.72, I = 70; 2θ 41.61, I = 38; 2θ 44.75, I = 36; 2θ 45.78, I = 30

Record 7
# Li2VCrP4O14
Calculated powder diffraction line list, a wavelength of 1.5418 Å. Input: a DFT-relaxed cell (GGA+U, the Materials Project).
Intensities are scaled so that the largest is 100.

Atomic structure:
Cell: 7.0272 8.2278 9.7341 Å, 90.00 108.79 90.00°
Atoms (fractional coordinates):
Li 0.1764 0.9998 0.3383
Li 0.1768 0.0000 0.8385
Li 0.8232 0.5000 0.1615
Li 0.8236 0.4998 0.6617
V 0.2293 0.6364 0.8581
V 0.7707 0.1364 0.1419
Cr 0.2273 0.6372 0.3574
Cr 0.7727 0.1372 0.6426
P 0.0216 0.3168 0.9496
P 0.0228 0.3176 0.4504
P 0.4135 0.4216 0.1449
P 0.4152 0.4201 0.6430
P 0.5848 0.9201 0.3570
P 0.5865 0.9216 0.8551
P 0.9772 0.8176 0.5496
P 0.9784 0.8168 0.0504
O 0.0043 0.4810 0.8731
O 0.0094 0.4830 0.3744
O 0.0182 0.6735 0.1567
O 0.0181 0.6753 0.6570
O 0.1059 0.8153 0.9485
O 0.1061 0.8167 0.4494
O 0.2532 0.2894 0.0472
O 0.2540 0.2883 0.5472
O 0.3524 0.4612 0.2770
O 0.3534 0.4593 0.7755
O 0.3833 0.8303 0.3158
O 0.3851 0.8339 0.8150
O 0.4173 0.5719 0.0517
O 0.4176 0.5706 0.5507
O 0.5824 0.0706 0.4493
O 0.5827 0.0719 0.9483
O 0.6149 0.3339 0.1850
O 0.6167 0.3303 0.6842
O 0.6466 0.9593 0.2245
O 0.6476 0.9612 0.7230
O 0.7460 0.7883 0.4528
O 0.7468 0.7894 0.9528
O 0.8941 0.3153 0.0515
O 0.8939 0.3167 0.5506
O 0.9818 0.1735 0.8433
O 0.9819 0.1753 0.3430
O 0.9906 0.9830 0.6256
O 0.9957 0.9810 0.1269

Peak list (10 most intense, 10° ≤ 2θ ≤ 90°, low angle first)
2θ 17.14, I = 100; 2θ 22.11, I = 21; 2θ 22.40, I = 47; 2θ 25.46, I = 18; 2θ 26.85, I = 24; 2θ 28.98, I = 31; 2θ 29.32, I = 58; 2θ 29.66, I = 28; 2θ 34.69, I = 17; 2θ 43.24, I = 15